For Sm2B4Pt5, a cell relaxed with GGA-PBE gives the simulated powder XRD pattern in this record (Cu Kα).
Neutral-atom scattering factors, no anomalous dispersion.

Principal peaks in the range 10 to 80 degrees two-theta, in order of rising 2θ:
d/Å  2θ/deg  Rel. int.
3.114  28.67  55
3.099  28.81  29
2.625  34.16  59
2.468  36.41  55
2.368  37.99  100
2.323  38.76  29
2.036  44.51  31
1.882  48.37  33
1.570  58.81  25
1.297  72.97  28

Cell and atoms:
Unit cell a=5.6254 b=5.6254 c=6.7598 alpha=101.04 beta=101.04 gamma=122.64
Atoms (fractional coordinates):
Sm 0.1454 0.1454 0.2890
Sm 0.8546 0.8546 0.7110
B 0.2139 0.5254 0.7387
B 0.4746 0.7861 0.2613
B 0.5254 0.2139 0.7387
B 0.7861 0.4746 0.2613
Pt 0.0000 0.5000 0.0000
Pt 0.2501 0.7499 0.5000
Pt 0.5000 0.0000 0.0000
Pt 0.5000 0.5000 0.0000
Pt 0.7499 0.2501 0.5000

=====

For Na3SmHg7, a cell relaxed with GGA-PBE gives the simulated powder XRD pattern in this record (Cu Kα).
Neutral-atom scattering factors, no anomalous dispersion.

Principal peaks in the range 10 to 80 degrees two-theta, in order of rising 2θ:
d/Å  2θ/deg  Rel. int.
4.485  19.80  73
3.498  25.47  62
3.085  28.94  38
2.958  30.22  61
2.930  30.51  74
2.701  33.17  91
2.594  34.58  57
2.402  37.44  100
2.263  39.84  55
1.426  65.45  40

Cell and atoms:
Unit cell a=10.9466 b=10.9466 c=16.0964 alpha=90.00 beta=90.00 gamma=161.37
Atoms (fractional coordinates):
Na 0.1153 0.8847 0.5176
Na 0.1153 0.8847 0.9824
Na 0.2408 0.7592 0.2500
Na 0.7592 0.2408 0.7500
Na 0.8847 0.1153 0.0176
Na 0.8847 0.1153 0.4824
Sm 0.0157 0.9843 0.2500
Sm 0.9843 0.0157 0.7500
Hg 0.2501 0.7499 0.5800
Hg 0.2501 0.7499 0.9200
Hg 0.3730 0.6270 0.6561
Hg 0.3730 0.6270 0.8439
Hg 0.3879 0.6121 0.2500
Hg 0.4952 0.5048 0.0884
Hg 0.4952 0.5048 0.4116
Hg 0.5048 0.4952 0.5884
Hg 0.5048 0.4952 0.9116
Hg 0.6121 0.3879 0.7500
Hg 0.6270 0.3730 0.1561
Hg 0.6270 0.3730 0.3439
Hg 0.7499 0.2501 0.0800
Hg 0.7499 0.2501 0.4200